# 1
Theoretical X-ray diffraction stick pattern of Rb6As3I14 for Cu Ka, from the PBE geometry in Alexandria.

Peak list (12 most intense, 5° ≤ 2θ ≤ 70°, low angle first)
2θ 13.09, d 6.763, rel. 22
2θ 20.05, d 4.428, rel. 20
2θ 23.85, d 3.730, rel. 64
2θ 26.20, d 3.401, rel. 100
2θ 26.36, d 3.382, rel. 21
2θ 26.85, d 3.321, rel. 45
2θ 29.98, d 2.981, rel. 24
2θ 30.39, d 2.941, rel. 43
2θ 33.21, d 2.697, rel. 20
2θ 39.99, d 2.254, rel. 28
2θ 44.25, d 2.047, rel. 23
2θ 48.38, d 1.881, rel. 21

Structural model:
Unit cell a=13.527 b=13.527 c=6.926 alpha=90.00 beta=90.00 gamma=120.00
Sites, in units of the cell vectors:
Rb (0.025, 0.555, 0.000)
Rb (0.297, 0.112, 0.500)
Rb (0.445, 0.470, 0.000)
Rb (0.530, 0.975, 0.000)
Rb (0.815, 0.703, 0.500)
Rb (0.888, 0.185, 0.500)
As (0.000, 0.000, 0.847)
As (0.333, 0.667, 0.401)
As (0.667, 0.333, 0.260)
I (0.000, 0.000, 0.321)
I (0.093, 0.857, 0.822)
I (0.143, 0.236, 0.822)
I (0.194, 0.440, 0.305)
I (0.246, 0.806, 0.305)
I (0.333, 0.667, 0.808)
I (0.460, 0.206, 0.029)
I (0.539, 0.414, 0.489)
I (0.560, 0.754, 0.305)
I (0.586, 0.125, 0.489)
I (0.746, 0.540, 0.029)
I (0.764, 0.907, 0.822)
I (0.794, 0.254, 0.029)
I (0.875, 0.461, 0.489)

# 2
Theoretical X-ray diffraction stick pattern of Rb2AsRuI6 for Cu Ka, from the PBE geometry in Alexandria.

Peak list (12 most intense, 5° ≤ 2θ ≤ 70°, low angle first)
2θ 15.40, d 5.755, rel. 31
2θ 21.84, d 4.069, rel. 5
2θ 26.83, d 3.323, rel. 88
2θ 31.08, d 2.877, rel. 100
2θ 34.86, d 2.574, rel. 16
2θ 44.53, d 2.035, rel. 72
2θ 47.39, d 1.918, rel. 8
2θ 52.76, d 1.735, rel. 39
2θ 55.30, d 1.661, rel. 25
2θ 57.76, d 1.596, rel. 4
2θ 64.80, d 1.439, rel. 11
2θ 67.06, d 1.396, rel. 4

Structural model:
Unit cell a=8.138 b=8.138 c=8.138 alpha=60.00 beta=60.00 gamma=60.00
Sites, in units of the cell vectors:
Rb (0.250, 0.250, 0.250)
Rb (0.750, 0.750, 0.750)
As (0.000, 0.000, 0.000)
Ru (0.500, 0.500, 0.500)
I (0.258, 0.258, 0.742)
I (0.258, 0.742, 0.258)
I (0.258, 0.742, 0.742)
I (0.742, 0.258, 0.258)
I (0.742, 0.258, 0.742)
I (0.742, 0.742, 0.258)

# 3
Theoretical X-ray diffraction stick pattern of AsS24I3 for Cu Ka, from the PBE geometry in Alexandria.

Peak list (12 most intense, 5° ≤ 2θ ≤ 70°, low angle first)
2θ 6.76, d 13.081, rel. 64
2θ 19.04, d 4.661, rel. 100
2θ 20.23, d 4.391, rel. 17
2θ 22.41, d 3.966, rel. 13
2θ 23.56, d 3.776, rel. 21
2θ 24.54, d 3.628, rel. 59
2θ 26.28, d 3.392, rel. 28
2θ 28.02, d 3.184, rel. 24
2θ 29.70, d 3.008, rel. 32
2θ 31.25, d 2.862, rel. 24
2θ 41.72, d 2.165, rel. 20
2θ 45.40, d 1.997, rel. 15

Structural model:
Unit cell a=15.201 b=15.201 c=15.201 alpha=118.76 beta=118.76 gamma=118.76
Sites, in units of the cell vectors:
As (0.000, 0.000, 0.000)
S (0.026, 0.509, 0.638)
S (0.026, 0.638, 0.509)
S (0.133, 0.395, 0.523)
S (0.133, 0.523, 0.395)
S (0.238, 0.420, 0.888)
S (0.238, 0.888, 0.420)
S (0.247, 0.247, 0.964)
S (0.247, 0.964, 0.247)
S (0.395, 0.133, 0.523)
S (0.395, 0.523, 0.133)
S (0.411, 0.411, 0.812)
S (0.411, 0.812, 0.411)
S (0.420, 0.238, 0.888)
S (0.420, 0.888, 0.238)
S (0.509, 0.026, 0.638)
S (0.509, 0.638, 0.026)
S (0.523, 0.133, 0.395)
S (0.523, 0.395, 0.133)
S (0.638, 0.026, 0.509)
S (0.638, 0.509, 0.026)
S (0.812, 0.411, 0.411)
S (0.888, 0.238, 0.420)
S (0.888, 0.420, 0.238)
S (0.964, 0.247, 0.247)
I (0.724, 0.724, 0.879)
I (0.724, 0.879, 0.724)
I (0.879, 0.724, 0.724)

# 4
Theoretical X-ray diffraction stick pattern of TaAs2SI for Cu Ka, from the PBE geometry in Alexandria.

Peak list (12 most intense, 5° ≤ 2θ ≤ 70°, low angle first)
2θ 17.16, d 5.169, rel. 14
2θ 19.00, d 4.672, rel. 21
2θ 24.35, d 3.655, rel. 26
2θ 25.70, d 3.466, rel. 100
2θ 31.07, d 2.879, rel. 16
2θ 34.71, d 2.584, rel. 77
2θ 38.54, d 2.336, rel. 29
2θ 39.86, d 2.261, rel. 14
2θ 43.69, d 2.072, rel. 49
2θ 49.90, d 1.827, rel. 27
2θ 52.83, d 1.733, rel. 46
2θ 64.77, d 1.439, rel. 25

Structural model:
Unit cell a=5.169 b=5.169 c=4.672 alpha=90.00 beta=90.00 gamma=90.00
Sites, in units of the cell vectors:
Ta (0.000, 0.000, 0.000)
As (0.000, 0.500, 0.000)
As (0.500, 0.000, 0.000)
S (0.000, 0.000, 0.500)
I (0.500, 0.500, 0.500)

# 5
Theoretical X-ray diffraction stick pattern of Sb2AsI for Cu Ka, from the PBE geometry in Alexandria.

Peak list (12 most intense, 5° ≤ 2θ ≤ 70°, low angle first)
2θ 9.22, d 9.591, rel. 44
2θ 22.24, d 3.997, rel. 100
2θ 24.41, d 3.647, rel. 44
2θ 25.30, d 3.521, rel. 42
2θ 25.42, d 3.504, rel. 21
2θ 26.63, d 3.348, rel. 54
2θ 31.91, d 2.804, rel. 82
2θ 33.22, d 2.697, rel. 42
2θ 35.89, d 2.502, rel. 30
2θ 40.95, d 2.204, rel. 35
2θ 43.50, d 2.080, rel. 37
2θ 47.64, d 1.909, rel. 31

Structural model:
Unit cell a=9.629 b=7.294 c=8.473 alpha=90.00 beta=95.06 gamma=90.00
Sites, in units of the cell vectors:
Sb (0.156, 0.167, 0.489)
Sb (0.156, 0.333, 0.989)
Sb (0.204, 0.695, 0.134)
Sb (0.204, 0.805, 0.634)
Sb (0.796, 0.195, 0.366)
Sb (0.796, 0.305, 0.866)
Sb (0.844, 0.667, 0.011)
Sb (0.844, 0.833, 0.511)
As (0.048, 0.634, 0.393)
As (0.048, 0.866, 0.893)
As (0.952, 0.134, 0.107)
As (0.952, 0.366, 0.607)
I (0.393, 0.171, 0.167)
I (0.393, 0.329, 0.667)
I (0.607, 0.671, 0.333)
I (0.607, 0.829, 0.833)

# 6
Theoretical X-ray diffraction stick pattern of SnAs2SeI for Cu Ka, from the PBE geometry in Alexandria.

Peak list (12 most intense, 5° ≤ 2θ ≤ 70°, low angle first)
2θ 16.31, d 5.435, rel. 13
2θ 23.14, d 3.843, rel. 31
2θ 23.78, d 3.742, rel. 55
2θ 28.97, d 3.082, rel. 70
2θ 32.96, d 2.718, rel. 100
2θ 34.78, d 2.579, rel. 43
2θ 41.05, d 2.199, rel. 27
2θ 42.19, d 2.142, rel. 13
2θ 47.30, d 1.922, rel. 36
2θ 48.67, d 1.871, rel. 66
2θ 56.43, d 1.631, rel. 20
2θ 60.04, d 1.541, rel. 35

Structural model:
Unit cell a=5.435 b=5.435 c=5.159 alpha=90.00 beta=90.00 gamma=90.00
Sites, in units of the cell vectors:
Sn (0.000, 0.000, 0.000)
As (0.000, 0.500, 0.000)
As (0.500, 0.000, 0.000)
Se (0.000, 0.000, 0.500)
I (0.500, 0.500, 0.500)

# 7
Theoretical X-ray diffraction stick pattern of Sm4AsI5 for Cu Ka, from the PBE geometry in Alexandria.

Peak list (12 most intense, 5° ≤ 2θ ≤ 70°, low angle first)
2θ 10.13, d 8.731, rel. 26
2θ 26.07, d 3.417, rel. 11
2θ 28.36, d 3.147, rel. 60
2θ 28.96, d 3.083, rel. 100
2θ 31.66, d 2.826, rel. 11
2θ 40.32, d 2.237, rel. 17
2θ 40.78, d 2.213, rel. 35
2θ 41.16, d 2.193, rel. 33
2θ 42.49, d 2.127, rel. 19
2θ 51.87, d 1.763, rel. 19
2θ 60.02, d 1.541, rel. 11
2θ 66.44, d 1.407, rel. 12

Structural model:
Unit cell a=9.912 b=9.912 c=8.947 alpha=102.32 beta=102.32 gamma=24.79
Sites, in units of the cell vectors:
Sm (0.000, 0.000, 0.212)
Sm (0.000, 0.000, 0.788)
Sm (0.353, 0.353, 0.927)
Sm (0.647, 0.647, 0.073)
As (0.500, 0.500, 0.000)
I (0.166, 0.166, 0.337)
I (0.171, 0.171, 0.824)
I (0.500, 0.500, 0.500)
I (0.829, 0.829, 0.176)
I (0.834, 0.834, 0.663)

What did the first record say?
Theoretical X-ray diffraction stick pattern of Rb6As3I14 for Cu Ka, from the PBE geometry in Alexandria.

Peak list (12 most intense, 5° ≤ 2θ ≤ 70°, low angle first)
2θ 13.09, d 6.763, rel. 22
2θ 20.05, d 4.428, rel. 20
2θ 23.85, d 3.730, rel. 64
2θ 26.20, d 3.401, rel. 100
2θ 26.36, d 3.382, rel. 21
2θ 26.85, d 3.321, rel. 45
2θ 29.98, d 2.981, rel. 24
2θ 30.39, d 2.941, rel. 43
2θ 33.21, d 2.697, rel. 20
2θ 39.99, d 2.254, rel. 28
2θ 44.25, d 2.047, rel. 23
2θ 48.38, d 1.881, rel. 21

Structural model:
Unit cell a=13.527 b=13.527 c=6.926 alpha=90.00 beta=90.00 gamma=120.00
Sites, in units of the cell vectors:
Rb (0.025, 0.555, 0.000)
Rb (0.297, 0.112, 0.500)
Rb (0.445, 0.470, 0.000)
Rb (0.530, 0.975, 0.000)
Rb (0.815, 0.703, 0.500)
Rb (0.888, 0.185, 0.500)
As (0.000, 0.000, 0.847)
As (0.333, 0.667, 0.401)
As (0.667, 0.333, 0.260)
I (0.000, 0.000, 0.321)
I (0.093, 0.857, 0.822)
I (0.143, 0.236, 0.822)
I (0.194, 0.440, 0.305)
I (0.246, 0.806, 0.305)
I (0.333, 0.667, 0.808)
I (0.460, 0.206, 0.029)
I (0.539, 0.414, 0.489)
I (0.560, 0.754, 0.305)
I (0.586, 0.125, 0.489)
I (0.746, 0.540, 0.029)
I (0.764, 0.907, 0.822)
I (0.794, 0.254, 0.029)
I (0.875, 0.461, 0.489)